No. 1
ZrFeSi2: calculated powder XRD pattern (Cu Kα X-rays), based on a crystal structure in Alexandria, relaxed with GGA-PBE.

Most intense lines, 10° ≤ 2θ ≤ 90°, in order of rising 2θ:
2θ = 17.06°, rel. 27
2θ = 38.06°, rel. 100
2θ = 39.40°, rel. 96
2θ = 40.88°, rel. 40
2θ = 46.10°, rel. 39
2θ = 47.88°, rel. 27

Structural model:
```
ZrFeSi2
1.0
6.2262 0.0000 0.0000
0.0000 3.9376 0.0000
0.0000 0.0000 9.4423
Zr Fe Si
4 4 8
Direct
0.2295 0.2500 0.1807
0.2705 0.7500 0.6807
0.7295 0.2500 0.3193
0.7705 0.7500 0.8193
0.0877 0.2500 0.9032
0.4123 0.7500 0.4032
0.5877 0.2500 0.5968
0.9123 0.7500 0.0968
0.0455 0.7500 0.3408
0.2401 0.7500 0.9712
0.2599 0.2500 0.4712
0.4545 0.2500 0.8408
0.5455 0.7500 0.1592
0.7401 0.7500 0.5288
0.7599 0.2500 0.0288
0.9545 0.2500 0.6592
```

No. 2
Zr4Fe7Si6: calculated powder XRD pattern (Cu Kα X-rays), based on a crystal structure in Alexandria, relaxed with GGA-PBE.

Most intense lines, 10° ≤ 2θ ≤ 90°, in order of rising 2θ:
2θ = 32.53°, rel. 40
2θ = 40.12°, rel. 100
2θ = 43.49°, rel. 23
2θ = 46.67°, rel. 62
2θ = 68.13°, rel. 32
2θ = 82.11°, rel. 26

Structural model:
```
Zr4Fe7Si6
1.0
-3.8928 3.8928 3.8928
3.8928 -3.8928 3.8928
3.8928 3.8928 -3.8928
Zr Fe Si
4 7 6
Direct
0.0000 0.0000 0.5000
0.0000 0.5000 0.0000
0.5000 0.0000 0.0000
0.5000 0.5000 0.5000
0.0000 0.0000 0.0000
0.2500 0.5000 0.7500
0.2500 0.7500 0.5000
0.5000 0.2500 0.7500
0.5000 0.7500 0.2500
0.7500 0.2500 0.5000
0.7500 0.5000 0.2500
0.0000 0.3203 0.3203
0.0000 0.6797 0.6797
0.3203 0.0000 0.3203
0.3203 0.3203 0.0000
0.6797 0.0000 0.6797
0.6797 0.6797 0.0000
```

No. 3
Zr4Fe2Si: calculated powder XRD pattern (Cu Kα X-rays), based on a crystal structure in Alexandria, relaxed with GGA-PBE.

Most intense lines, 10° ≤ 2θ ≤ 90°, in order of rising 2θ:
2θ = 27.97°, rel. 85
2θ = 30.68°, rel. 37
2θ = 35.29°, rel. 100
2θ = 39.97°, rel. 77
2θ = 40.73°, rel. 74
2θ = 45.62°, rel. 76

Structural model:
```
Zr4Fe2Si
1.0
9.0227 0.0000 0.0000
0.0000 9.0227 0.0000
0.0000 0.0000 3.2761
Zr Fe Si
8 4 2
Direct
0.0139 0.2610 0.0000
0.2390 0.5139 0.5000
0.2610 0.0139 0.0000
0.4861 0.7610 0.5000
0.5139 0.2390 0.5000
0.7390 0.9861 0.0000
0.7610 0.4861 0.5000
0.9861 0.7390 0.0000
0.1960 0.8040 0.5000
0.3040 0.3040 0.0000
0.6960 0.6960 0.0000
0.8040 0.1960 0.5000
0.0000 0.0000 0.5000
0.5000 0.5000 0.0000
```

No. 4
Zr2FeSi4: calculated powder XRD pattern (Cu Kα X-rays), based on a crystal structure in Alexandria, relaxed with GGA-PBE.

Most intense lines, 10° ≤ 2θ ≤ 90°, in order of rising 2θ:
2θ = 25.68°, rel. 49
2θ = 29.45°, rel. 73
2θ = 35.75°, rel. 61
2θ = 41.74°, rel. 50
2θ = 43.92°, rel. 100
2θ = 46.97°, rel. 38

Structural model:
```
Zr2FeSi4
1.0
6.7822 0.0000 0.0000
0.0000 6.7822 0.0000
0.0000 0.0000 5.0234
Zr Fe Si
4 2 8
Direct
0.1753 0.1753 0.0000
0.3247 0.6753 0.5000
0.6753 0.3247 0.5000
0.8247 0.8247 0.0000
0.0000 0.0000 0.5000
0.5000 0.5000 0.0000
0.0736 0.3387 0.5000
0.1613 0.5736 0.0000
0.3387 0.0736 0.5000
0.4264 0.8387 0.0000
0.5736 0.1613 0.0000
0.6613 0.9264 0.5000
0.8387 0.4264 0.0000
0.9264 0.6613 0.5000
```